[1]
Computed X-ray powder pattern of Bi3SbW2O12 for Cu Kα, from a GGA+U-relaxed structure.
Lines closer than 0.1° are merged.

a = 5.4761 Å, b = 5.5145 Å, c = 8.9780 Å
α = 107.86°, β = 90.11°, γ = 90.21°
Space group P1 (No. 1)
Inequivalent atoms, fractional coordinates:
Bi: 0.0000 0.0000 0.0000
Bi: 0.0602 0.3564 0.6906
Bi: 0.4988 0.8530 0.6893
Sb: 0.5648 0.4926 0.9823
W: 0.0291 0.7382 0.3434
W: 0.5297 0.2386 0.3426
O: 0.1098 0.8937 0.5619
O: 0.2592 0.7155 0.8413
O: 0.2734 0.4924 0.3076
O: 0.2779 0.9952 0.3061
O: 0.3066 0.2219 0.8436
O: 0.4500 0.3936 0.5611
O: 0.6077 0.1786 0.1281
O: 0.7571 0.7033 0.8462
O: 0.7761 0.0326 0.3837
O: 0.7791 0.5337 0.3845
O: 0.7955 0.2159 0.8490
O: 0.9500 0.6772 0.1280

Main lines, in order of falling intensity (10° ≤ 2θ ≤ 80°):
27.77°, I = 100.0, (1 -1 2)
27.85°, I = 32.9, (1 1 1)
31.40°, I = 23.1, (0 0 3)
32.47°, I = 18.6, (0 2 -1)
32.71°, I = 18.4, (2 0 0)
45.80°, I = 16.7, (0 2 -4)
53.67°, I = 11.6, (1 1 -5)
53.78°, I = 11.2, (1 -1 5)
46.67°, I = 9.4, (2 -2 1)
46.85°, I = 8.9, (2 2 -1)

[2]
Computed X-ray powder pattern of SmV2BiO8 for Cu Kα, from a GGA+U-relaxed structure.
Lines closer than 0.1° are merged.

a = 7.3853 Å, b = 7.3853 Å, c = 6.4764 Å
α = 90.00°, β = 90.00°, γ = 90.00°
Space group I-4m2 (No. 119)
Inequivalent atoms, fractional coordinates:
Sm: 0.0000 0.0000 0.0000
V: 0.0000 0.0000 0.5000
V: 0.0000 0.5000 0.7500
Bi: 0.0000 0.5000 0.2500
O: 0.0000 0.1801 0.3260
O: 0.0000 0.3172 0.9211

Main lines, in order of falling intensity (10° ≤ 2θ ≤ 80°):
24.10°, I = 100.0, (2 0 0)
32.54°, I = 72.2, (1 1 2)
48.03°, I = 60.4, (3 1 2)
18.22°, I = 48.6, (1 0 1)
34.34°, I = 23.6, (2 2 0)
30.38°, I = 19.8, (2 1 1)
60.37°, I = 17.7, (3 3 2)
39.15°, I = 16.8, (3 0 1)
46.50°, I = 16.1, (3 2 1)
49.36°, I = 15.8, (4 0 0)

[3]
Computed X-ray powder pattern of SrV4Bi6O20 for Cu Kα, from a GGA+U-relaxed structure.
Lines closer than 0.1° are merged.

a = 7.2424 Å, b = 8.1028 Å, c = 9.4431 Å
α = 106.42°, β = 93.88°, γ = 112.54°
Space group P-1 (No. 2)
Inequivalent atoms, fractional coordinates:
Sr: 0.0000 0.0000 0.0000
V: 0.0523 0.2758 0.7574
V: 0.3451 0.3945 0.2596
Bi: 0.2005 0.7121 0.6735
Bi: 0.3445 0.1260 0.5188
Bi: 0.4284 0.7984 0.0787
O: 0.0568 0.7949 0.4310
O: 0.1037 0.2454 0.2734
O: 0.1301 0.8327 0.1459
O: 0.1651 0.5253 0.8341
O: 0.2347 0.1835 0.7558
O: 0.3312 0.9119 0.8990
O: 0.3542 0.3025 0.0725
O: 0.3768 0.6317 0.3112
O: 0.4499 0.9688 0.6337
O: 0.4703 0.6290 0.6294

Main lines, in order of falling intensity (10° ≤ 2θ ≤ 80°):
26.21°, I = 100.0, (-2 1 1)
26.58°, I = 69.1, (1 -2 2)
27.08°, I = 62.3, (0 1 2)
31.58°, I = 52.5, (1 2 -1)
31.40°, I = 43.9, (1 1 -3)
26.39°, I = 42.2, (1 0 2)
34.71°, I = 30.3, (1 -3 0)
14.05°, I = 28.5, (1 -1 0)
47.47°, I = 28.1, (3 1 -2)
30.90°, I = 28.1, (2 0 1)

[4]
Computed X-ray powder pattern of Sr3V3BiO12 for Cu Kα, from a GGA+U-relaxed structure.
Lines closer than 0.1° are merged.

a = 10.0494 Å, b = 17.4244 Å, c = 7.4206 Å
α = 90.00°, β = 117.62°, γ = 90.00°
Space group C2/m (No. 12)
Inequivalent atoms, fractional coordinates:
Sr: 0.1920 0.0000 0.1023
Sr: 0.2075 0.3407 0.0944
V: 0.0939 0.1688 0.2895
V: 0.0964 0.5000 0.2905
Bi: 0.0000 0.3275 0.5000
O: 0.0119 0.2551 0.7952
O: 0.0151 0.4152 0.7600
O: 0.0274 0.0932 0.8245
O: 0.1717 0.1701 0.5474
O: 0.1933 0.5000 0.1482
O: 0.2106 0.5000 0.5424
O: 0.2447 0.1681 0.2259

Main lines, in order of falling intensity (10° ≤ 2θ ≤ 80°):
30.81°, I = 100.0, (0 6 0)
28.66°, I = 64.7, (1 3 -2)
28.97°, I = 33.3, (2 0 1)
42.78°, I = 28.1, (2 6 1)
49.77°, I = 19.0, (1 3 3)
42.38°, I = 17.8, (4 0 -3)
54.78°, I = 17.5, (6 0 -2)
11.16°, I = 16.0, (1 1 0)
18.20°, I = 14.8, (2 0 -1)
13.49°, I = 13.4, (1 1 -1)

[5]
Computed X-ray powder pattern of Sr2V3Bi3O14 for Cu Kα, from a GGA+U-relaxed structure.
Lines closer than 0.1° are merged.

a = 7.2188 Å, b = 7.2692 Å, c = 14.4087 Å
α = 100.95°, β = 96.52°, γ = 110.71°
Space group P-1 (No. 2)
Inequivalent atoms, fractional coordinates:
Sr: 0.2180 0.1495 0.4332
Sr: 0.2597 0.0852 0.9416
V: 0.2036 0.6464 0.4240
V: 0.2613 0.1600 0.6991
V: 0.2665 0.6056 0.9288
Bi: 0.2096 0.8657 0.1725
Bi: 0.2736 0.3752 0.1983
Bi: 0.2813 0.6641 0.6693
O: 0.0346 0.3606 0.5596
O: 0.0401 0.1213 0.7420
O: 0.1180 0.3721 0.9464
O: 0.1199 0.0705 0.1030
O: 0.1441 0.6660 0.8356
O: 0.1504 0.4074 0.3467
O: 0.1860 0.0016 0.5852
O: 0.3022 0.8319 0.3671
O: 0.3391 0.8186 0.0293
O: 0.3813 0.1839 0.2708
O: 0.3844 0.6784 0.5291
O: 0.3921 0.4212 0.6955
O: 0.4067 0.0866 0.7772
O: 0.5001 0.3945 0.0936

Main lines, in order of falling intensity (10° ≤ 2θ ≤ 80°):
26.94°, I = 100.0, (2 0 0)
26.57°, I = 92.4, (1 0 -4)
29.19°, I = 58.3, (1 -2 3)
29.38°, I = 52.9, (0 2 1)
31.39°, I = 48.0, (1 0 4)
31.02°, I = 36.9, (-2 2 1)
12.76°, I = 36.2, (0 0 2)
16.59°, I = 35.9, (1 0 -2)
26.21°, I = 29.3, (0 2 -1)
26.35°, I = 28.4, (1 -2 2)

[6]
Computed X-ray powder pattern of TaBiW2O10 for Cu Kα, from a GGA+U-relaxed structure.
Lines closer than 0.1° are merged.

a = 3.9776 Å, b = 13.0943 Å, c = 7.5620 Å
α = 90.00°, β = 90.00°, γ = 90.00°
Space group Amm2 (No. 38)
Inequivalent atoms, fractional coordinates:
Ta: 0.0000 0.0000 0.0000
Bi: 0.0000 0.0000 0.5042
W: 0.0000 0.2481 0.2564
O: 0.0000 0.1054 0.1964
O: 0.0000 0.1071 0.8120
O: 0.0000 0.2103 0.5065
O: 0.5000 0.0000 0.0018
O: 0.5000 0.0000 0.5054
O: 0.5000 0.2481 0.2572

Main lines, in order of falling intensity (10° ≤ 2θ ≤ 80°):
27.24°, I = 100.0, (0 4 0)
35.51°, I = 68.8, (1 4 0)
22.35°, I = 55.4, (1 0 0)
53.94°, I = 30.6, (2 4 0)
53.69°, I = 27.1, (1 0 4)
48.14°, I = 25.2, (0 0 4)
61.23°, I = 17.7, (1 8 0)
68.48°, I = 17.1, (2 0 4)
56.19°, I = 15.2, (0 8 0)
75.17°, I = 12.7, (2 8 0)